Diffraction record for ScCuGe. The PXRD pattern is simulated, not measured: it uses the GGA-PBE geometry in the Materials Project and Cu Kα (weighted mean of Kα1 and Kα2).
Kinematic intensities with the Lorentz-polarization factor, no thermal factor.

Structural model:
Unit cell a=6.5606 b=6.5606 c=3.9978 alpha=90.00 beta=90.00 gamma=120.00
Space group P-62m (No. 189)
Unique sites:
Sc  0.0000  0.5719  0.0000 [3 per cell]
Cu  0.0000  0.2429  0.5000 [3 per cell]
Ge  0.0000  0.0000  0.0000 [1 per cell]
Ge  0.3333  0.6667  0.5000 [2 per cell]

Principal peaks in the range 10 to 90 degrees two-theta, low angle first:
hkl 0 0 1, 22.24 deg, rel. 15
hkl 1 1 0, 27.20 deg, rel. 23
hkl 1 1 1, 35.40 deg, rel. 60
hkl 2 0 1, 38.89 deg, rel. 100
hkl 2 1 0, 42.08 deg, rel. 39
hkl 0 0 2, 45.37 deg, rel. 33
hkl 3 0 0, 48.08 deg, rel. 76
hkl 2 1 2, 63.59 deg, rel. 21
hkl 3 0 2, 68.22 deg, rel. 16
hkl 3 2 1, 76.92 deg, rel. 33